For Ba10Fe8Pt2Cl2O25, a cell relaxed with GGA+U gives the simulated PXRD pattern in this record (Cu Kα X-rays).
Lines closer than 0.1° are merged.

The 10 most intense peaks (2θ = 5–70°), by angle:
2θ = 7.01°, intensity 430, (0 0 2); 2θ = 22.33°, intensity 232, (1 0 4); 2θ = 24.74°, intensity 166, (1 0 5); 2θ = 30.15°, intensity 1000, (1 1 0); 2θ = 30.31°, intensity 403, (1 0 7); 2θ = 39.38°, intensity 179, (2 0 5); 2θ = 41.83°, intensity 209, (1 1 8); 2θ = 43.28°, intensity 170, (2 0 7); 2θ = 53.59°, intensity 345, (3 0 0); 2θ = 62.68°, intensity 171, (2 2 0)

Structural model:
Cell lengths 5.9284, 5.9284, 25.2187 Å; angles 90.00, 90.00, 120.00 degrees
Sites, in units of the cell vectors:
Ba 0.0000 0.0000 0.0000
Ba 0.0000 0.0000 0.5000
Ba 0.3333 0.6667 0.1215
Ba 0.3333 0.6667 0.2855
Ba 0.3333 0.6667 0.7145
Ba 0.3333 0.6667 0.8785
Ba 0.6667 0.3333 0.2100
Ba 0.6667 0.3333 0.3782
Ba 0.6667 0.3333 0.6218
Ba 0.6667 0.3333 0.7900
Fe 0.0000 0.0000 0.1426
Fe 0.0000 0.0000 0.3592
Fe 0.0000 0.0000 0.6408
Fe 0.0000 0.0000 0.8574
Fe 0.3333 0.6667 0.4253
Fe 0.3333 0.6667 0.5747
Fe 0.6667 0.3333 0.0731
Fe 0.6667 0.3333 0.9269
Pt 0.0000 0.0000 0.2511
Pt 0.0000 0.0000 0.7489
Cl 0.3333 0.6667 0.0000
Cl 0.6667 0.3333 0.5000
O 0.1530 0.3061 0.2000
O 0.1530 0.3061 0.8000
O 0.1530 0.8470 0.2000
O 0.1530 0.8470 0.8000
O 0.1594 0.3188 0.4062
O 0.1594 0.3188 0.5938
O 0.1594 0.8406 0.4062
O 0.1594 0.8406 0.5938
O 0.3049 0.1524 0.3029
O 0.3049 0.1524 0.6971
O 0.3249 0.1624 0.1005
O 0.3249 0.1624 0.8995
O 0.6667 0.3333 0.0000
O 0.6812 0.8406 0.4062
O 0.6812 0.8406 0.5938
O 0.6939 0.8470 0.2000
O 0.6939 0.8470 0.8000
O 0.8376 0.1624 0.1005
O 0.8376 0.1624 0.8995
O 0.8376 0.6751 0.1005
O 0.8376 0.6751 0.8995
O 0.8476 0.1524 0.3029
O 0.8476 0.1524 0.6971
O 0.8476 0.6951 0.3029
O 0.8476 0.6951 0.6971